For ZnCrPO5, a crystal structure in Alexandria, relaxed with GGA+U gives the simulated powder diffraction line list in this record (Cu Kα, 1.54184 Å).
No peak broadening, texture or thermal motion is included.

Largest 12 diffraction maxima, by angle, 15° ≤ 2θ ≤ 90°:
| d [Å] | 2theta | I (rel.) | hkl |
| --- | --- | --- | --- |
| 4.951 | 17.92 | 15 | 1 0 -1 |
| 3.309 | 26.95 | 92 | 0 1 -2 |
| 3.231 | 27.61 | 100 | 1 1 0 |
| 2.503 | 35.88 | 19 | -1 1 2 |
| 2.482 | 36.19 | 50 | 1 -2 0 |
| 2.475 | 36.29 | 11 | 2 0 -2 |
| 2.289 | 39.36 | 25 | 1 0 -3 |
| 1.814 | 50.30 | 18 | 1 1 -4 |
| 1.696 | 54.07 | 20 | 2 0 2 |
| 1.681 | 54.59 | 23 | 0 3 0 |
| 1.615 | 57.01 | 12 | 2 2 0 |
| 1.474 | 63.07 | 11 | -3 2 2 |

Atomic structure:
```
ZnCrPO5
1.0
5.4538 0.0000 0.0000
-0.5082 5.4324 0.0000
-2.3246 -2.5526 6.3836
Zn Cr P O
2 2 2 10
direct
0.0000 0.0000 0.0000
0.3721 0.6332 0.4999
0.6791 0.3113 0.2321
0.6808 0.3097 0.7321
0.0288 0.9569 0.4810
0.3275 0.6606 0.9815
0.0170 0.6079 0.8759
0.3397 0.0156 0.5911
0.3841 0.9713 0.0907
0.4104 0.5265 0.1417
0.4587 0.5812 0.8172
0.5915 0.3957 0.4816
0.7653 0.2222 0.9816
0.8931 0.0390 0.6402
0.9488 0.0868 0.3159
0.9782 0.6467 0.3762
```